Simulated X-ray diffraction stick pattern of NiPb3C4 for Cu Kα X-rays, from a cell relaxed with GGA-PBE.
No peak broadening, texture or thermal motion is included.

Peak list (10 most intense, 10 to 90 degrees two-theta, most intense first)
| d_spacing | I_rel |
| --- | --- |
| 2.841 | 100 |
| 2.061 | 63 |
| 2.995 | 48 |
| 3.973 | 43 |
| 2.663 | 43 |
| 2.694 | 42 |
| 3.871 | 36 |
| 1.982 | 20 |
| 1.597 | 18 |
| 1.653 | 17 |

Structure:
```
NiPb3C4
1.0
9.2097 -1.9823 0.0000
9.2097 1.9823 0.0000
-0.8948 0.0000 3.9735
Ni Pb C
1 3 4
Direct
0.0000 0.0000 0.0000 Ni
0.3190 0.3190 0.3801 Pb
0.5000 0.5000 0.5000 Pb
0.6810 0.6810 0.6199 Pb
0.0998 0.0998 0.0205 C
0.1688 0.1688 0.0029 C
0.8312 0.8312 0.9971 C
0.9002 0.9002 0.9795 C
```

Simulated X-ray diffraction stick pattern of Sc2ZnN for Cu Kα X-rays, from a cell relaxed with GGA-PBE.
No peak broadening, texture or thermal motion is included.

Peak list (10 most intense, 10 to 90 degrees two-theta, most intense first)
| d_spacing | I_rel |
| --- | --- |
| 2.394 | 100 |
| 1.601 | 20 |
| 2.373 | 18 |
| 2.772 | 18 |
| 1.803 | 17 |
| 1.327 | 15 |
| 1.374 | 15 |
| 1.331 | 13 |
| 2.583 | 5 |
| 1.197 | 4 |

Structure:
```
Sc2ZnN
1.0
3.2014 0.0000 0.0000
-1.6007 2.7725 0.0000
0.0000 0.0000 14.2385
Sc Zn N
4 2 2
Direct
0.3333 0.6667 0.0872 Sc
0.3333 0.6667 0.4128 Sc
0.6667 0.3333 0.5872 Sc
0.6667 0.3333 0.9128 Sc
0.3333 0.6667 0.7500 Zn
0.6667 0.3333 0.2500 Zn
0.0000 0.0000 0.0000 N
0.0000 0.0000 0.5000 N
```